Theoretical X-ray diffraction stick pattern
Compound: La2PrSmSe3O4
Radiation: Cu Kα (weighted mean of Kα1 and Kα2)
Structure: DFT lattice parameters and positions (GGA-PBE)
Neutral-atom scattering factors, no anomalous dispersion.

Largest 8 diffraction maxima, sorted by position, 10° ≤ 2θ ≤ 90°:
- 2θ = 25.07°, 3.552 Å, rel. 53.8
- 2θ = 30.18°, 2.961 Å, rel. 100.0
- 2θ = 31.33°, 2.855 Å, rel. 54.4
- 2θ = 34.73°, 2.583 Å, rel. 29.0
- 2θ = 44.81°, 2.023 Å, rel. 20.4
- 2θ = 46.66°, 1.947 Å, rel. 22.4
- 2θ = 53.16°, 1.723 Å, rel. 17.0
- 2θ = 57.89°, 1.593 Å, rel. 17.4

Structure:
abc: 8.473 6.825 6.825
angles: 34.48 90.00 90.00
Atoms (fractional coordinates):
La  0.239  0.000  0.000
La  0.761  0.000  0.000
Pr  0.000  0.315  0.315
Sm  0.500  0.333  0.333
Se  0.000  0.629  0.629
Se  0.352  0.677  0.677
Se  0.648  0.677  0.677
O  0.000  0.904  0.904
O  0.247  0.403  0.403
O  0.500  0.928  0.928
O  0.753  0.403  0.403


Theoretical X-ray diffraction stick pattern
Compound: Ag2SnHgSe2S2
Radiation: Cu Kα (weighted mean of Kα1 and Kα2)
Structure: DFT lattice parameters and positions (GGA-PBE)
Neutral-atom scattering factors, no anomalous dispersion.

Largest 8 diffraction maxima, sorted by position, 10° ≤ 2θ ≤ 90°:
- 2θ = 25.41°, 3.505 Å, rel. 90.5
- 2θ = 25.86°, 3.445 Å, rel. 93.0
- 2θ = 29.91°, 2.988 Å, rel. 18.4
- 2θ = 42.30°, 2.136 Å, rel. 100.0
- 2θ = 43.37°, 2.086 Å, rel. 18.9
- 2θ = 50.18°, 1.818 Å, rel. 29.8
- 2θ = 50.94°, 1.793 Å, rel. 27.3
- 2θ = 67.36°, 1.390 Å, rel. 16.3

Structure:
abc: 7.458 7.396 5.977
angles: 66.81 65.73 47.46
Atoms (fractional coordinates):
Ag  0.000  0.000  0.500
Ag  0.500  0.500  0.000
Sn  0.234  0.234  0.766
Hg  0.737  0.737  0.263
Se  0.122  0.603  0.397
Se  0.603  0.122  0.878
S  0.350  0.876  0.650
S  0.876  0.350  0.124


Theoretical X-ray diffraction stick pattern
Compound: InCu2SeS2
Radiation: Cu Kα (weighted mean of Kα1 and Kα2)
Structure: DFT lattice parameters and positions (GGA-PBE)
Neutral-atom scattering factors, no anomalous dispersion.

Largest 8 diffraction maxima, sorted by position, 10° ≤ 2θ ≤ 90°:
- 2θ = 27.78°, 3.211 Å, rel. 45.4
- 2θ = 28.00°, 3.187 Å, rel. 100.0
- 2θ = 28.14°, 3.171 Å, rel. 55.4
- 2θ = 46.27°, 1.962 Å, rel. 41.0
- 2θ = 46.51°, 1.953 Å, rel. 38.8
- 2θ = 46.74°, 1.944 Å, rel. 41.3
- 2θ = 55.13°, 1.666 Å, rel. 23.9
- 2θ = 55.31°, 1.661 Å, rel. 22.4

Structure:
abc: 6.771 6.771 6.724
angles: 99.63 99.63 119.62
Atoms (fractional coordinates):
In  0.097  0.903  0.500
In  0.903  0.097  0.000
Cu  0.257  0.734  0.976
Cu  0.380  0.540  0.474
Cu  0.540  0.380  0.974
Cu  0.734  0.257  0.476
Se  0.748  0.938  0.588
Se  0.938  0.748  0.088
S  0.115  0.581  0.616
S  0.302  0.469  0.117
S  0.469  0.302  0.617
S  0.581  0.115  0.116


Theoretical X-ray diffraction stick pattern
Compound: YEr2Tl2Cd4
Radiation: Cu Kα (weighted mean of Kα1 and Kα2)
Structure: DFT lattice parameters and positions (GGA-PBE)
Neutral-atom scattering factors, no anomalous dispersion.

Largest 8 diffraction maxima, sorted by position, 10° ≤ 2θ ≤ 90°:
- 2θ = 30.80°, 2.903 Å, rel. 76.1
- 2θ = 33.81°, 2.651 Å, rel. 100.0
- 2θ = 36.51°, 2.461 Å, rel. 28.5
- 2θ = 39.39°, 2.288 Å, rel. 32.7
- 2θ = 41.62°, 2.170 Å, rel. 19.6
- 2θ = 41.72°, 2.165 Å, rel. 33.8
- 2θ = 54.75°, 1.677 Å, rel. 16.8
- 2θ = 54.83°, 1.674 Å, rel. 15.0

Structure:
abc: 4.575 7.520 7.520
angles: 120.21 90.00 90.00
Atoms (fractional coordinates):
Y  0.000  0.000  0.000
Er  0.000  0.427  0.855
Er  0.000  0.855  0.427
Tl  0.500  0.095  0.760
Tl  0.500  0.760  0.095
Cd  0.000  0.430  0.430
Cd  0.500  0.188  0.428
Cd  0.500  0.428  0.188
Cd  0.500  0.668  0.668


Theoretical X-ray diffraction stick pattern
Compound: YTmGaCo2
Radiation: Cu Kα (weighted mean of Kα1 and Kα2)
Structure: DFT lattice parameters and positions (GGA-PBE)
Neutral-atom scattering factors, no anomalous dispersion.

Largest 8 diffraction maxima, sorted by position, 10° ≤ 2θ ≤ 90°:
- 2θ = 13.60°, 6.512 Å, rel. 25.1
- 2θ = 31.54°, 2.837 Å, rel. 25.1
- 2θ = 34.19°, 2.622 Å, rel. 100.0
- 2θ = 36.23°, 2.480 Å, rel. 68.6
- 2θ = 39.55°, 2.279 Å, rel. 45.0
- 2θ = 42.25°, 2.139 Å, rel. 36.7
- 2θ = 47.53°, 1.913 Å, rel. 24.0
- 2θ = 62.09°, 1.495 Å, rel. 27.8

Structure:
abc: 3.826 6.776 6.776
angles: 32.10 90.00 90.00
Atoms (fractional coordinates):
Y  0.000  0.000  0.000
Tm  0.000  0.735  0.735
Ga  0.500  0.367  0.367
Co  0.500  0.170  0.170
Co  0.500  0.572  0.572


Theoretical X-ray diffraction stick pattern
Compound: LuNpS3
Radiation: Cu Kα (weighted mean of Kα1 and Kα2)
Structure: DFT lattice parameters and positions (GGA-PBE)
Neutral-atom scattering factors, no anomalous dispersion.

Largest 8 diffraction maxima, sorted by position, 10° ≤ 2θ ≤ 90°:
- 2θ = 23.86°, 3.729 Å, rel. 100.0
- 2θ = 26.42°, 3.374 Å, rel. 39.2
- 2θ = 28.69°, 3.111 Å, rel. 22.8
- 2θ = 33.47°, 2.677 Å, rel. 45.2
- 2θ = 38.19°, 2.357 Å, rel. 28.9
- 2θ = 43.56°, 2.078 Å, rel. 19.5
- 2θ = 48.05°, 1.894 Å, rel. 37.2
- 2θ = 54.39°, 1.687 Å, rel. 22.5

Structure:
abc: 6.504 6.504 9.316
angles: 90.00 90.00 146.18
Atoms (fractional coordinates):
Lu  0.002  0.002  0.000
Lu  0.998  0.998  0.500
Np  0.252  0.748  0.750
Np  0.748  0.252  0.250
S  0.091  0.909  0.250
S  0.355  0.643  0.434
S  0.357  0.645  0.066
S  0.643  0.355  0.566
S  0.645  0.357  0.934
S  0.909  0.091  0.750


Theoretical X-ray diffraction stick pattern
Compound: BaSm2P4
Radiation: Cu Kα (weighted mean of Kα1 and Kα2)
Structure: DFT lattice parameters and positions (GGA-PBE)
Neutral-atom scattering factors, no anomalous dispersion.

Largest 8 diffraction maxima, sorted by position, 10° ≤ 2θ ≤ 90°:
- 2θ = 20.57°, 4.318 Å, rel. 64.2
- 2θ = 25.50°, 3.493 Å, rel. 100.0
- 2θ = 30.09°, 2.970 Å, rel. 23.4
- 2θ = 30.82°, 2.901 Å, rel. 48.6
- 2θ = 32.33°, 2.769 Å, rel. 32.1
- 2θ = 34.41°, 2.607 Å, rel. 44.8
- 2θ = 34.83°, 2.576 Å, rel. 37.9
- 2θ = 46.68°, 1.946 Å, rel. 46.2

Structure:
abc: 13.106 12.230 6.256
angles: 83.65 68.03 28.32
Atoms (fractional coordinates):
Ba  0.125  0.125  0.125
Ba  0.875  0.875  0.875
Sm  0.253  0.253  0.497
Sm  0.497  0.497  0.253
Sm  0.503  0.503  0.747
Sm  0.747  0.747  0.503
P  0.140  0.698  0.221
P  0.221  0.441  0.140
P  0.302  0.860  0.559
P  0.441  0.221  0.698
P  0.559  0.779  0.302
P  0.698  0.140  0.441
P  0.779  0.559  0.860
P  0.860  0.302  0.779


Theoretical X-ray diffraction stick pattern
Compound: DyEr2Lu4Ir2S2
Radiation: Cu Kα (weighted mean of Kα1 and Kα2)
Structure: DFT lattice parameters and positions (GGA-PBE)
Neutral-atom scattering factors, no anomalous dispersion.

Largest 8 diffraction maxima, sorted by position, 10° ≤ 2θ ≤ 90°:
- 2θ = 12.10°, 7.316 Å, rel. 45.7
- 2θ = 31.33°, 2.855 Å, rel. 50.2
- 2θ = 32.18°, 2.782 Å, rel. 29.5
- 2θ = 35.23°, 2.547 Å, rel. 30.0
- 2θ = 35.38°, 2.537 Å, rel. 100.0
- 2θ = 35.92°, 2.500 Å, rel. 37.8
- 2θ = 40.23°, 2.242 Å, rel. 32.3
- 2θ = 47.47°, 1.915 Å, rel. 29.8

Structure:
abc: 8.790 8.790 8.790
angles: 154.83 67.33 118.71
Atoms (fractional coordinates):
Dy  0.000  0.000  0.000
Er  0.468  0.588  0.880
Er  0.707  0.588  0.120
Lu  0.055  0.373  0.682
Lu  0.109  0.746  0.363
Lu  0.384  0.746  0.637
Lu  0.691  0.373  0.318
Ir  0.312  0.074  0.239
Ir  0.835  0.074  0.761
S  0.338  0.338  0.000
S  0.748  0.248  0.500


Theoretical X-ray diffraction stick pattern
Compound: ZnIBr
Radiation: Cu Kα (weighted mean of Kα1 and Kα2)
Structure: DFT lattice parameters and positions (GGA-PBE)
Neutral-atom scattering factors, no anomalous dispersion.

Largest 8 diffraction maxima, sorted by position, 10° ≤ 2θ ≤ 90°:
- 2θ = 13.77°, 6.433 Å, rel. 21.4
- 2θ = 22.85°, 3.891 Å, rel. 16.1
- 2θ = 25.85°, 3.447 Å, rel. 100.0
- 2θ = 42.06°, 2.148 Å, rel. 48.1
- 2θ = 44.38°, 2.041 Å, rel. 20.6
- 2θ = 47.92°, 1.898 Å, rel. 17.5
- 2θ = 52.07°, 1.756 Å, rel. 28.1
- 2θ = 80.10°, 1.198 Å, rel. 14.4

Structure:
abc: 4.082 4.082 12.866
angles: 90.00 90.00 90.00
Atoms (fractional coordinates):
Zn  0.000  0.500  0.000
Zn  0.500  0.000  0.500
I  0.000  0.000  0.129
I  0.000  0.000  0.629
Br  0.500  0.500  0.389
Br  0.500  0.500  0.889